No. 1
Calculated XRD peak list of NbV2CdO8 for CuKα, from a structure optimized by DFT (GGA+U).
No peak broadening, texture or thermal motion is included.

Atomic structure:
a = 6.9109 Å, b = 6.9109 Å, c = 6.3019 Å
α = 90.00°, β = 90.00°, γ = 90.00°
Space group I-4m2 (No. 119)
Asymmetric unit:
Nb 0.0000 0.0000 0.0000 (multiplicity 2)
V 0.0000 0.0000 0.5000 (multiplicity 2)
V 0.0000 0.5000 0.7500 (multiplicity 2)
Cd 0.0000 0.5000 0.2500 (multiplicity 2)
O 0.0000 0.1809 0.3083 (multiplicity 8)
O 0.0000 0.2868 0.9188 (multiplicity 8)

Principal peaks in the range 15 to 90 degrees two-theta, in order of rising 2θ:
(1 0 1), 19.1°, rel. 23.7
(2 0 0), 25.8°, rel. 100.0
(1 1 2), 33.8°, rel. 71.7
(2 2 0), 36.8°, rel. 15.6
(3 0 1), 41.7°, rel. 11.0
(3 1 2), 50.8°, rel. 58.4
(4 0 0), 53.0°, rel. 17.2
(4 2 0), 59.9°, rel. 12.6
(3 3 2), 64.4°, rel. 17.1
(2 0 4), 65.1°, rel. 11.8
(5 1 2), 76.5°, rel. 11.2
(4 2 4), 88.7°, rel. 10.2

=====

No. 2
Calculated XRD peak list of NbCdWO6 for CuKα, from a structure optimized by DFT (GGA+U).
No peak broadening, texture or thermal motion is included.

Atomic structure:
a = 4.9668 Å, b = 4.9668 Å, c = 9.4843 Å
α = 90.00°, β = 90.00°, γ = 90.00°
Space group P4_2nm (No. 102)
Asymmetric unit:
Nb 0.0000 0.0000 0.0000 (multiplicity 2)
Cd 0.0000 0.0000 0.6711 (multiplicity 2)
W 0.0000 0.0000 0.3418 (multiplicity 2)
O 0.1764 0.1764 0.1712 (multiplicity 4)
O 0.2130 0.2130 0.4767 (multiplicity 4)
O 0.2128 0.2128 0.8594 (multiplicity 4)

Principal peaks in the range 15 to 90 degrees two-theta, in order of rising 2θ:
(1 0 1), 20.2°, rel. 12.6
(1 1 0), 25.4°, rel. 100.0
(1 0 3), 33.6°, rel. 77.9
(2 0 0), 36.2°, rel. 23.8
(2 1 3), 50.2°, rel. 63.5
(2 2 0), 52.1°, rel. 17.0
(3 1 0), 58.8°, rel. 16.2
(3 0 3), 63.4°, rel. 18.5
(1 1 6), 64.7°, rel. 15.3
(3 2 3), 75.2°, rel. 14.0
(4 1 3), 86.4°, rel. 12.0
(3 1 6), 87.6°, rel. 11.5